1.
Starting from a GGA-PBE-relaxed structure, the X-ray diffraction stick pattern of Er4CuNi was computed for CuKα.
Intensities are scaled so that the largest is 1000.

Main lines, sorted by position (10° ≤ 2θ ≤ 80°):
Position (°2θ)	d_spacing	I_rel
27.16	3.283	347
29.28	3.050	198
34.33	2.612	1000
37.30	2.411	539
45.73	1.984	164
48.11	1.891	207
53.78	1.705	187
59.58	1.552	104
65.37	1.428	304
73.48	1.289	107

Atomic structure:
```
data_Er4CuNi
_chemical_formula_sum 'Er4 Cu1 Ni1'
_space_group_name_H-M_alt 'P 4/m m m'
_space_group_IT_number 123
_space_group_name_Hall '-P 4 2'
_cell_length_a 3.409
_cell_length_b 3.409
_cell_length_c 12.200
_cell_angle_alpha 90.00
_cell_angle_beta 90.00
_cell_angle_gamma 90.00
loop_
_atom_site_label
_atom_site_type_symbol
_atom_site_fract_x
_atom_site_fract_y
_atom_site_fract_z
Er1 Er 0.000 0.000 0.131
Er2 Er 0.500 0.500 0.359
Cu1 Cu 0.000 0.000 0.500
Ni1 Ni 0.500 0.500 0.000
```


2.
Starting from a GGA-PBE-relaxed structure, the X-ray diffraction stick pattern of BaAcPtRh was computed for CuKα.
Intensities are scaled so that the largest is 1000.

Main lines, sorted by position (10° ≤ 2θ ≤ 80°):
Position (°2θ)	d_spacing	I_rel
21.30	4.172	169
26.28	3.392	1000
37.33	2.409	829
37.67	2.388	877
46.23	1.964	222
51.95	1.760	159
54.08	1.696	312
60.86	1.522	199
67.56	1.387	321
76.44	1.246	203

Atomic structure:
```
data_BaAcPtRh
_chemical_formula_sum 'Ba1 Ac1 Pt1 Rh1'
_space_group_name_H-M_alt 'P 3 m 1'
_space_group_IT_number 156
_cell_length_a 4.8173
_cell_length_b 4.8173
_cell_length_c 5.8239
_cell_angle_alpha 90.00
_cell_angle_beta 90.00
_cell_angle_gamma 120.00
loop_
_space_group_symop_operation_xyz
'x,y,z'
'-y,x-y,z'
'-x+y,-x,z'
'-y,-x,z'
'-x+y,y,z'
'x,x-y,z'
loop_
_atom_site_label
_atom_site_type_symbol
_atom_site_fract_x
_atom_site_fract_y
_atom_site_fract_z
Ba1 Ba 0.0000 0.0000 0.0000
Ac1 Ac 0.6667 0.3333 0.5124
Pt1 Pt 0.3333 0.6667 0.2607
Rh1 Rh 0.3333 0.6667 0.7449
```


3.
Starting from a GGA-PBE-relaxed structure, the X-ray diffraction stick pattern of KPm2W2N6 was computed for CuKα.
Intensities are scaled so that the largest is 1000.

Main lines, sorted by position (10° ≤ 2θ ≤ 80°):
Position (°2θ)	d_spacing	I_rel
15.75	5.626	408
16.66	5.322	1000
18.06	4.912	240
26.04	3.422	242
27.10	3.290	517
29.74	3.004	689
30.24	2.956	404
30.96	2.889	622
32.30	2.772	323
47.18	1.926	269

Atomic structure:
```
data_KPm2W2N6
_chemical_formula_sum 'K1 Pm2 W2 N6'
_space_group_name_H-M_alt 'P -1'
_space_group_IT_number 2
_cell_length_a 6.470
_cell_length_b 6.606
_cell_length_c 6.870
_cell_angle_alpha 93.68
_cell_angle_beta 117.17
_cell_angle_gamma 115.70
loop_
_space_group_symop_operation_xyz
'x,y,z'
'-x,-y,-z'
loop_
_atom_site_label
_atom_site_type_symbol
_atom_site_fract_x
_atom_site_fract_y
_atom_site_fract_z
K1 K 0.000 0.000 0.000
Pm1 Pm 0.367 0.674 0.290
W1 W 0.234 0.682 0.689
N1 N 0.136 0.674 0.907
N2 N 0.279 0.913 0.550
N3 N 0.462 0.582 0.699
```


4.
Starting from a GGA-PBE-relaxed structure, the X-ray diffraction stick pattern of Nd5Th2Mg was computed for CuKα.
Intensities are scaled so that the largest is 1000.

Main lines, sorted by position (10° ≤ 2θ ≤ 80°):
Position (°2θ)	d_spacing	I_rel
12.15	7.285	113
27.44	3.250	62
30.39	2.941	1000
34.91	2.570	349
35.88	2.503	155
50.31	1.814	64
50.93	1.793	226
59.74	1.548	137
59.89	1.544	146
61.11	1.516	122

Atomic structure:
```
data_Nd5Th2Mg
_chemical_formula_sum 'Nd10 Th4 Mg2'
_space_group_name_H-M_alt 'C m m m'
_space_group_IT_number 65
_space_group_name_Hall '-C 2 2'
_cell_length_a 10.012
_cell_length_b 14.570
_cell_length_c 3.627
_cell_angle_alpha 90.00
_cell_angle_beta 90.00
_cell_angle_gamma 90.00
loop_
_atom_site_label
_atom_site_type_symbol
_atom_site_fract_x
_atom_site_fract_y
_atom_site_fract_z
Nd1 Nd 0.000 0.000 0.000
Nd2 Nd 0.236 0.374 0.500
Th1 Th 0.000 0.240 0.000
Mg1 Mg 0.000 0.500 0.000
```


5.
Starting from a GGA-PBE-relaxed structure, the X-ray diffraction stick pattern of P2PtO2 was computed for CuKα.
Intensities are scaled so that the largest is 1000.

Main lines, sorted by position (10° ≤ 2θ ≤ 80°):
Position (°2θ)	d_spacing	I_rel
14.62	6.058	908
26.60	3.351	310
29.49	3.029	624
30.48	2.932	1000
37.97	2.370	367
40.13	2.247	227
40.89	2.207	620
48.79	1.866	367
63.44	1.466	260
64.00	1.455	248

Atomic structure:
```
data_P2PtO2
_chemical_formula_sum 'P2 Pt1 O2'
_space_group_name_H-M_alt 'P 4/m m m'
_space_group_IT_number 123
_space_group_name_Hall '-P 4 2'
_cell_length_a 3.351
_cell_length_b 3.351
_cell_length_c 6.058
_cell_angle_alpha 90.00
_cell_angle_beta 90.00
_cell_angle_gamma 90.00
loop_
_atom_site_label
_atom_site_type_symbol
_atom_site_fract_x
_atom_site_fract_y
_atom_site_fract_z
P1 P 0.000 0.000 0.000
P2 P 0.000 0.000 0.500
Pt1 Pt 0.500 0.500 0.000
O1 O 0.000 0.500 0.500
```


6.
Starting from a GGA-PBE-relaxed structure, the X-ray diffraction stick pattern of NaHfTe3 was computed for CuKα.
Intensities are scaled so that the largest is 1000.

Main lines, sorted by position (10° ≤ 2θ ≤ 80°):
Position (°2θ)	d_spacing	I_rel
11.76	7.527	996
16.01	5.537	587
26.90	3.314	837
29.91	2.987	1000
31.00	2.884	436
34.10	2.629	808
39.43	2.285	429
41.09	2.197	394
41.92	2.155	574
51.32	1.780	441

Atomic structure:
```
data_NaHfTe3
_chemical_formula_sum 'Na4 Hf4 Te12'
_space_group_name_H-M_alt 'C m c m'
_space_group_IT_number 63
_space_group_name_Hall '-C 2c 2'
_cell_length_a 3.718
_cell_length_b 15.054
_cell_length_c 11.073
_cell_angle_alpha 90.00
_cell_angle_beta 90.00
_cell_angle_gamma 90.00
loop_
_atom_site_label
_atom_site_type_symbol
_atom_site_fract_x
_atom_site_fract_y
_atom_site_fract_z
Na1 Na 0.000 0.248 0.250
Hf1 Hf 0.000 0.500 0.000
Te1 Te 0.000 0.135 0.560
Te2 Te 0.000 0.426 0.750
```